[1]
# Nb6Ga3C
Calculated powder X-ray diffraction pattern, Cu Ka. Input: a DFT-relaxed cell (GGA-PBE, Alexandria).
Intensities are scaled so that the largest is 100.

a b c (Å): 5.376 7.010 10.242
angles (deg): 90.00 119.74 90.00
Space group P2_1/c (No. 14)
Symmetry-distinct sites (fractional):
Nb: 0.079 0.146 0.445 x4
Nb: 0.326 0.718 0.439 x4
Nb: 0.407 0.032 0.270 x4
Ga: 0.000 0.000 0.000 x2
Ga: 0.176 0.116 0.770 x4
C: 0.500 0.000 0.500 x2

Top 10 peaks for 10 to 90 degrees two-theta, by intensity:
| two_theta | I_rel |
| --- | --- |
| 37.55 | 100 |
| 36.97 | 98 |
| 36.43 | 88 |
| 32.29 | 84 |
| 42.17 | 82 |
| 34.05 | 74 |
| 32.53 | 59 |
| 43.32 | 57 |
| 37.40 | 55 |
| 35.80 | 50 |

[2]
# Nb4GaC
Calculated powder X-ray diffraction pattern, Cu Ka. Input: a DFT-relaxed cell (GGA-PBE, Alexandria).
Intensities are scaled so that the largest is 100.

a b c (Å): 5.875 5.803 5.826
angles (deg): 90.00 92.48 90.00
Space group P2_1/c (No. 14)
Symmetry-distinct sites (fractional):
Nb: 0.103 0.162 0.171 x4
Nb: 0.326 0.617 0.104 x4
Ga: 0.500 0.000 0.000 x2
C: 0.000 0.000 0.500 x2

Top 10 peaks for 10 to 90 degrees two-theta, by intensity:
| two_theta | I_rel |
| --- | --- |
| 34.53 | 100 |
| 35.00 | 99 |
| 37.09 | 80 |
| 34.24 | 78 |
| 37.26 | 56 |
| 38.17 | 52 |
| 52.41 | 38 |
| 51.43 | 33 |
| 51.99 | 19 |
| 73.51 | 15 |

[3]
# Nb4GaC2
Calculated powder X-ray diffraction pattern, Cu Ka. Input: a DFT-relaxed cell (GGA-PBE, Alexandria).
Intensities are scaled so that the largest is 100.

a b c (Å): 3.315 10.655 11.252
angles (deg): 90.00 90.00 90.00
Space group Cmcm (No. 63)
Symmetry-distinct sites (fractional):
Nb: 0.000 0.000 0.000 x4
Nb: 0.000 0.262 0.108 x8
Nb: 0.000 0.419 0.750 x4
Ga: 0.000 0.107 0.750 x4
C: 0.000 0.364 0.561 x8

Top 10 peaks for 10 to 90 degrees two-theta, by intensity:
| two_theta | I_rel |
| --- | --- |
| 37.98 | 100 |
| 37.16 | 93 |
| 36.11 | 80 |
| 37.35 | 35 |
| 40.53 | 24 |
| 67.97 | 24 |
| 70.27 | 23 |
| 55.44 | 23 |
| 32.46 | 23 |
| 56.94 | 16 |